Computed powder diffractogram
Compound: CsRbVO3
Radiation: λ = 1.5418 Å (Cu Kα)
Structure: DFT lattice parameters and positions (PBE+U)
Lines closer than 0.1° are merged.

Most intense lines, 2θ = 10–90°, sorted by position:
Position (°2θ), d [Å], I_rel
19.0, 4.682, 15.5
22.6, 3.941, 17.4
26.5, 3.360, 100.0
27.3, 3.263, 89.6
32.8, 2.730, 21.9
38.5, 2.341, 46.2
46.8, 1.940, 20.1
47.3, 1.921, 31.3
53.9, 1.700, 27.1
54.6, 1.680, 18.5
62.1, 1.494, 17.2
74.2, 1.278, 14.3

Structural model:
```
data_CsRbVO3
_cell_length_a 6.7201
_cell_length_b 6.7201
_cell_length_c 7.8821
_cell_angle_alpha 90.00
_cell_angle_beta 90.00
_cell_angle_gamma 120.00
_symmetry_space_group_name_H-M 'P 1'
_symmetry_Int_Tables_number 1
loop_
_symmetry_equiv_pos_as_xyz
'x,y,z'
loop_
_atom_site_label
_atom_site_fract_x
_atom_site_fract_y
_atom_site_fract_z
_atom_site_occupancy
Cs1 0.3333 0.6667 0.2500 1
Cs2 0.6667 0.3333 0.7500 1
Rb1 0.0000 0.0000 0.0000 1
Rb2 0.0000 0.0000 0.5000 1
V1 0.3333 0.6667 0.7500 1
V2 0.6667 0.3333 0.2500 1
O1 0.1846 0.3693 0.7500 1
O2 0.1846 0.8154 0.7500 1
O3 0.3693 0.1846 0.2500 1
O4 0.6307 0.8154 0.7500 1
O5 0.8154 0.1846 0.2500 1
O6 0.8154 0.6307 0.2500 1
```